Simulated X-ray diffraction stick pattern of Hg2Pt2F for Cu Kα X-rays, from a DFT-relaxed cell (GGA-PBE, Alexandria).
Intensities are scaled so that the largest is 100.

Largest 6 diffraction maxima, by angle, 15° ≤ 2θ ≤ 90°:
d [Å]	two_theta	Rel. int.
3.433	25.95	56
2.725	32.87	100
2.134	42.35	63
2.110	42.86	22
1.927	47.17	37
1.680	54.62	30

Structure:
Lattice parameters (Å, degrees): 5.449 5.449 6.866 90.00 90.00 90.00
Element x y z (fractional)
Hg: 0.000 0.500 0.250
Hg: 0.000 0.500 0.750
Hg: 0.500 0.000 0.250
Hg: 0.500 0.000 0.750
Pt: 0.000 0.000 0.182
Pt: 0.000 0.000 0.818
Pt: 0.500 0.500 0.318
Pt: 0.500 0.500 0.682
F: 0.000 0.000 0.500
F: 0.500 0.500 0.000

---

Simulated X-ray diffraction stick pattern of HgPtF4 for Cu Kα X-rays, from a DFT-relaxed cell (GGA-PBE, Alexandria).
Intensities are scaled so that the largest is 100.

Largest 6 diffraction maxima, by angle, 15° ≤ 2θ ≤ 90°:
d [Å]	two_theta	Rel. int.
3.762	23.65	100
3.295	27.06	27
2.798	31.99	35
2.774	32.27	34
2.393	37.59	20
2.249	40.10	33

Structure:
Lattice parameters (Å, degrees): 7.380 5.548 5.359 90.00 116.75 90.00
Element x y z (fractional)
Hg: 0.000 0.000 0.000
Hg: 0.500 0.500 0.000
Pt: 0.000 0.500 0.500
Pt: 0.500 0.000 0.500
F: 0.153 0.500 0.915
F: 0.220 0.000 0.463
F: 0.280 0.500 0.537
F: 0.347 0.000 0.085
F: 0.653 0.000 0.915
F: 0.720 0.500 0.463
F: 0.780 0.000 0.537
F: 0.847 0.500 0.085

---

Simulated X-ray diffraction stick pattern of PuHgF5 for Cu Kα X-rays, from a DFT-relaxed cell (GGA-PBE, Alexandria).
Intensities are scaled so that the largest is 100.

Largest 6 diffraction maxima, by angle, 15° ≤ 2θ ≤ 90°:
d [Å]	two_theta	Rel. int.
4.721	18.80	100
3.678	24.20	24
3.558	25.02	72
2.848	31.41	21
2.360	38.13	22
2.032	44.59	23

Structure:
Lattice parameters (Å, degrees): 4.066 7.361 10.176 71.10 79.34 90.00
Element x y z (fractional)
Pu: 0.000 0.000 0.000
Pu: 0.500 0.500 0.000
Hg: 0.247 0.361 0.503
Hg: 0.753 0.639 0.497
F: 0.010 0.673 0.979
F: 0.103 0.145 0.784
F: 0.254 0.781 0.497
F: 0.397 0.447 0.216
F: 0.489 0.153 0.024
F: 0.511 0.847 0.976
F: 0.603 0.553 0.784
F: 0.746 0.219 0.503
F: 0.897 0.855 0.216
F: 0.990 0.327 0.021

---

Simulated X-ray diffraction stick pattern of PuHgF6 for Cu Kα X-rays, from a DFT-relaxed cell (GGA-PBE, Alexandria).
Intensities are scaled so that the largest is 100.

Largest 6 diffraction maxima, by angle, 15° ≤ 2θ ≤ 90°:
d [Å]	two_theta	Rel. int.
4.787	18.54	36
3.600	24.73	100
2.764	32.40	25
2.192	41.18	27
1.943	46.76	31
1.717	53.34	26

Structure:
Lattice parameters (Å, degrees): 5.527 5.527 5.463 90.00 90.00 120.00
Element x y z (fractional)
Pu: 0.000 0.000 0.000
Hg: 0.667 0.333 0.500
F: 0.321 0.015 0.764
F: 0.321 0.307 0.236
F: 0.693 0.015 0.236
F: 0.693 0.679 0.764
F: 0.985 0.307 0.764
F: 0.985 0.679 0.236

---

Simulated X-ray diffraction stick pattern of RbHg6F12 for Cu Kα X-rays, from a DFT-relaxed cell (GGA-PBE, Alexandria).
Intensities are scaled so that the largest is 100.

Largest 6 diffraction maxima, by angle, 15° ≤ 2θ ≤ 90°:
d [Å]	two_theta	Rel. int.
3.504	25.42	73
3.051	29.27	100
3.004	29.74	91
2.301	39.14	61
2.031	44.62	35
1.389	67.40	37

Structure:
Lattice parameters (Å, degrees): 7.454 7.454 7.454 109.88 109.88 109.88
Element x y z (fractional)
Rb: 0.000 0.000 0.000
Hg: 0.270 0.270 0.703
Hg: 0.270 0.703 0.270
Hg: 0.297 0.730 0.730
Hg: 0.703 0.270 0.270
Hg: 0.730 0.297 0.730
Hg: 0.730 0.730 0.297
F: 0.112 0.500 0.888
F: 0.112 0.888 0.500
F: 0.131 0.411 0.411
F: 0.411 0.131 0.411
F: 0.411 0.411 0.131
F: 0.500 0.112 0.888
F: 0.500 0.888 0.112
F: 0.589 0.589 0.869
F: 0.589 0.869 0.589
F: 0.869 0.589 0.589
F: 0.888 0.112 0.500
F: 0.888 0.500 0.112

---

Simulated X-ray diffraction stick pattern of Rb2HgF4 for Cu Kα X-rays, from a DFT-relaxed cell (GGA-PBE, Alexandria).
Intensities are scaled so that the largest is 100.

Largest 6 diffraction maxima, by angle, 15° ≤ 2θ ≤ 90°:
d [Å]	two_theta	Rel. int.
4.385	20.25	24
3.312	26.92	100
3.258	27.38	68
2.303	39.11	36
1.923	47.26	23
1.891	48.12	45

Structure:
Lattice parameters (Å, degrees): 15.021 15.021 15.021 154.95 154.95 35.72
Element x y z (fractional)
Rb: 0.052 0.302 0.750
Rb: 0.198 0.448 0.750
Rb: 0.302 0.052 0.250
Rb: 0.448 0.198 0.250
Rb: 0.552 0.802 0.750
Rb: 0.698 0.948 0.750
Rb: 0.802 0.552 0.250
Rb: 0.948 0.698 0.250
Hg: 0.125 0.875 0.250
Hg: 0.375 0.625 0.750
Hg: 0.625 0.375 0.250
Hg: 0.875 0.125 0.750
F: 0.044 0.794 0.250
F: 0.084 0.834 0.669
F: 0.166 0.334 0.250
F: 0.206 0.956 0.250
F: 0.294 0.544 0.750
F: 0.334 0.584 0.169
F: 0.416 0.084 0.750
F: 0.456 0.706 0.750
F: 0.544 0.294 0.250
F: 0.584 0.916 0.250
F: 0.666 0.416 0.831
F: 0.706 0.456 0.250
F: 0.794 0.044 0.750
F: 0.834 0.666 0.750
F: 0.916 0.166 0.331
F: 0.956 0.206 0.750

---

Question: What is the formula in the first record?
Answer: Hg2Pt2F

---

Question: Number 2 is which compound?
Answer: HgPtF4